The following is a theoretical XRD peak list of Er4OsRu. It was derived from a crystal structure in Alexandria, relaxed with GGA-PBE, using Cu Kα.

Principal peaks in the range 10° ≤ 2θ ≤ 90°, low angle first:
d = 5.531 Å, 2θ 16.02, I 38; d = 2.939 Å, 2θ 30.41, I 34; d = 2.864 Å, 2θ 31.23, I 96; d = 2.710 Å, 2θ 33.06, I 86; d = 2.571 Å, 2θ 34.89, I 55; d = 2.461 Å, 2θ 36.51, I 53; d = 2.406 Å, 2θ 37.38, I 39; d = 2.391 Å, 2θ 37.61, I 32; d = 2.262 Å, 2θ 39.85, I 100; d = 2.121 Å, 2θ 42.63, I 61

Structure:
abc: 7.7586 7.7586 6.2304
angles: 108.67 108.67 110.30
Element x y z (fractional)
Er 0.0491 0.6930 0.9065
Er 0.2465 0.3668 0.7364
Er 0.3070 0.9509 0.5935
Er 0.3668 0.2465 0.2364
Er 0.6332 0.7535 0.7636
Er 0.6930 0.0491 0.4065
Er 0.7535 0.6332 0.2636
Er 0.9509 0.3070 0.0935
Os 0.3656 0.6344 0.2500
Os 0.6344 0.3656 0.7500
Ru 0.0018 0.9982 0.7500
Ru 0.9982 0.0018 0.2500